No. 1
For VSnAuBr, a DFT-relaxed cell (PBE, Alexandria) gives the computed powder diffractogram in this record (λ = 1.5418 Å (Cu Kα)).
Intensities are scaled so that the largest is 100.

Top 10 peaks for 10 to 80 degrees two-theta, sorted by position:
- hkl 0 0 3, d 3.293, 27.1 deg, I 23
- hkl 1 0 0, d 2.810, 31.9 deg, I 44
- hkl 1 0 1, d 2.702, 33.2 deg, I 42
- hkl 1 0 2, d 2.442, 36.8 deg, I 100
- hkl 0 1 3, d 2.137, 42.3 deg, I 66
- hkl 1 1 0, d 1.622, 56.8 deg, I 29
- hkl 1 0 5, d 1.616, 57.0 deg, I 15
- hkl 0 1 6, d 1.421, 65.7 deg, I 17
- hkl 0 2 2, d 1.351, 69.6 deg, I 16
- hkl 1 1 5, d 1.254, 75.9 deg, I 17

Structural model:
```
VSnAuBr
1.0
3.2442 0.0000 0.0000
-1.6221 2.8095 0.0000
0.0000 0.0000 9.8797
V Sn Au Br
1 1 1 1
direct
0.0000 0.0000 0.0000
0.0000 0.0000 0.4399
0.3333 0.6667 0.1978
0.3333 0.6667 0.8336
```

---

No. 2
For SrAuBr, a DFT-relaxed cell (PBE, Alexandria) gives the computed powder diffractogram in this record (λ = 1.5418 Å (Cu Kα)).
Intensities are scaled so that the largest is 100.

Top 10 peaks for 10 to 80 degrees two-theta, sorted by position:
- hkl 1 1 -1, d 3.851, 23.1 deg, I 22
- hkl 0 0 3, d 3.552, 25.1 deg, I 38
- hkl 2 0 -2, d 3.308, 27.0 deg, I 39
- hkl 1 1 2, d 3.214, 27.8 deg, I 100
- hkl 2 0 -3, d 2.737, 32.7 deg, I 38
- hkl 1 1 -3, d 2.712, 33.0 deg, I 27
- hkl 1 1 3, d 2.656, 33.8 deg, I 55
- hkl 0 2 0, d 2.368, 38.0 deg, I 46
- hkl 3 1 0, d 2.358, 38.2 deg, I 88
- hkl 3 1 -1, d 2.321, 38.8 deg, I 33

Structural model:
```
SrAuBr
1.0
8.1664 0.0000 0.0000
0.0000 4.7353 0.0000
-0.4533 0.0000 10.6574
Sr Au Br
4 4 4
direct
0.0104 0.0000 0.1952
0.4896 0.5000 0.8048
0.5104 0.5000 0.1952
0.9896 0.0000 0.8048
0.1662 0.5000 0.9851
0.3338 0.0000 0.0149
0.6662 0.0000 0.9851
0.8338 0.5000 0.0149
0.1842 0.5000 0.3375
0.3158 0.0000 0.6625
0.6842 0.0000 0.3375
0.8158 0.5000 0.6625
```

---

No. 3
For TaAu2Br, a DFT-relaxed cell (PBE, Alexandria) gives the computed powder diffractogram in this record (λ = 1.5418 Å (Cu Kα)).
Intensities are scaled so that the largest is 100.

Top 10 peaks for 10 to 80 degrees two-theta, sorted by position:
- hkl 0 1 1, d 4.396, 20.2 deg, I 33
- hkl 0 1 3, d 3.039, 29.4 deg, I 14
- hkl 0 0 4, d 2.974, 30.0 deg, I 23
- hkl 1 0 3, d 2.378, 37.8 deg, I 26
- hkl 0 2 0, d 2.365, 38.0 deg, I 33
- hkl 1 1 2, d 2.318, 38.9 deg, I 100
- hkl 0 1 5, d 2.126, 42.5 deg, I 27
- hkl 1 2 3, d 1.677, 54.7 deg, I 18
- hkl 1 3 2, d 1.356, 69.3 deg, I 19
- hkl 1 1 8, d 1.280, 74.0 deg, I 14

Structural model:
```
TaAu2Br
1.0
2.9723 0.0000 0.0000
0.0000 4.7309 0.0000
0.0000 0.0000 11.8970
Ta Au Br
2 4 2
direct
0.0000 0.0000 0.0000
0.5000 0.5000 0.5000
0.0000 0.5000 0.2977
0.0000 0.5000 0.7023
0.5000 0.0000 0.2023
0.5000 0.0000 0.7977
0.0000 0.0000 0.5000
0.5000 0.5000 0.0000
```

---

No. 4
For TcAuBr2, a DFT-relaxed cell (PBE, Alexandria) gives the computed powder diffractogram in this record (λ = 1.5418 Å (Cu Kα)).
Intensities are scaled so that the largest is 100.

Top 10 peaks for 10 to 80 degrees two-theta, sorted by position:
- hkl 0 0 1, d 6.920, 12.8 deg, I 100
- hkl 2 0 -2, d 3.422, 26.0 deg, I 16
- hkl 2 0 1, d 3.317, 26.9 deg, I 16
- hkl 1 1 0, d 3.132, 28.5 deg, I 14
- hkl 1 1 -1, d 2.996, 29.8 deg, I 13
- hkl 1 1 1, d 2.730, 32.8 deg, I 23
- hkl 1 1 -2, d 2.479, 36.2 deg, I 25
- hkl 4 0 -1, d 2.464, 36.5 deg, I 22
- hkl 3 1 -1, d 2.336, 38.5 deg, I 16
- hkl 0 0 3, d 2.307, 39.0 deg, I 14

Structural model:
```
TcAuBr2
1.0
9.8625 0.0000 0.0000
0.0000 3.3317 0.0000
-2.6825 0.0000 6.9204
Tc Au Br
2 2 4
direct
0.0000 0.0000 0.0000
0.5000 0.5000 0.0000
0.2731 0.0000 0.0004
0.7731 0.5000 0.0004
0.1110 0.5000 0.2780
0.4604 0.0000 0.7220
0.6110 0.0000 0.2780
0.9604 0.5000 0.7220
```

---

No. 5
For Te4AuBr, a DFT-relaxed cell (PBE, Alexandria) gives the computed powder diffractogram in this record (λ = 1.5418 Å (Cu Kα)).
Intensities are scaled so that the largest is 100.

Top 10 peaks for 10 to 80 degrees two-theta, sorted by position:
- hkl 0 0 1, d 6.375, 13.9 deg, I 46
- hkl 1 0 -1, d 3.774, 23.6 deg, I 100
- hkl 1 2 1, d 3.036, 29.4 deg, I 58
- hkl 1 -1 1, d 3.016, 29.6 deg, I 50
- hkl 0 1 -2, d 2.587, 34.7 deg, I 23
- hkl 1 0 -2, d 2.577, 34.8 deg, I 20
- hkl 0 2 2, d 2.567, 34.9 deg, I 29
- hkl 2 2 0, d 2.205, 40.9 deg, I 25
- hkl 2 -1 0, d 2.178, 41.5 deg, I 24
- hkl 0 3 0, d 2.072, 43.7 deg, I 19

Structural model:
```
Te4AuBr
1.0
5.2340 0.0000 0.0000
1.6602 6.4174 0.0000
1.0897 1.6389 6.3748
Te Au Br
4 1 1
direct
0.1686 0.3554 0.1507
0.3222 0.6843 0.2385
0.6778 0.3157 0.7615
0.8314 0.6446 0.8493
0.0000 0.0000 0.0000
0.5000 0.0000 0.5000
```